This entry pairs a crystal structure of MnTlF3 with its simulated X-ray diffraction stick pattern. Radiation: copper Kα. Structure: a GGA+U-relaxed structure.

Cell and atoms:
abc: 4.2257 4.3254 9.7271
angles: 94.26 102.35 90.32
Space group P-1 (No. 2)
Symmetry-distinct sites (fractional):
Mn 0.0656 0.2704 0.1341 x2
Tl 0.3223 0.2408 0.6433 x2
F 0.0483 0.7682 0.0980 x2
F 0.1764 0.3724 0.3575 x2
F 0.4237 0.7187 0.8444 x2

Peak list (10 most intense, 5° ≤ 2θ ≤ 70°, by intensity)
- 25.36 deg, I 100
- 26.86 deg, I 61
- 9.34 deg, I 51
- 29.06 deg, I 47
- 30.17 deg, I 36
- 30.30 deg, I 35
- 37.99 deg, I 34
- 31.72 deg, I 32
- 42.80 deg, I 30
- 29.81 deg, I 29